Starting from a cell relaxed with PBE, the powder XRD pattern of CeNi3H3 was simulated for CuKα.
Peak positions follow from Bragg's law for the DFT cell and can differ from measured ones.

Crystal structure
Unit cell a=8.6304 b=8.6304 c=8.6304 alpha=90.00 beta=90.00 gamma=90.00
Space group Fm-3m (No. 225)
Unique sites:
Ce1 0.2500 0.2500 0.2500 (multiplicity 8)
Ni1 0.0000 0.0000 0.1937 (multiplicity 24)
H1 0.0000 0.0000 0.3638 (multiplicity 24)

Top 12 peaks for 2θ = 10–90°, sorted by position:
17.80 deg, I = 295, (1 1 1); 29.27 deg, I = 353, (2 2 0); 36.05 deg, I = 1000, (2 2 2); 41.87 deg, I = 465, (4 0 0); 45.83 deg, I = 144, (3 3 1); 47.09 deg, I = 219, (4 2 0); 55.31 deg, I = 207, (3 3 3); 60.70 deg, I = 191, (4 4 0); 64.82 deg, I = 183, (4 4 2); 68.80 deg, I = 188, (6 2 0); 72.67 deg, I = 184, (6 2 2); 83.90 deg, I = 114, (6 4 2)